(1)
Computed powder XRD pattern
Compound: Re2S2O13
Radiation: λ = 1.5418 Å (Cu Kα)
Structure: a DFT-relaxed cell (GGA-PBE, OQMD)

Structural model:
```
Re2S2O13
1.0
8.195 0.000 0.000
0.000 9.576 0.000
0.000 0.000 5.706
Re S O
4 4 26
Direct
0.185 0.105 0.000
0.315 0.605 0.000
0.685 0.395 0.000
0.815 0.895 0.000
0.133 0.824 0.345
0.367 0.324 0.345
0.633 0.676 0.345
0.867 0.176 0.345
0.000 0.000 0.911
0.043 0.142 0.320
0.112 0.261 0.896
0.149 0.684 0.206
0.179 0.807 0.583
0.184 0.550 0.787
0.237 0.926 0.215
0.263 0.426 0.215
0.316 0.050 0.787
0.321 0.307 0.583
0.351 0.184 0.206
0.388 0.761 0.896
0.457 0.642 0.320
0.500 0.500 0.911
0.543 0.358 0.320
0.612 0.239 0.896
0.649 0.816 0.206
0.679 0.693 0.583
0.684 0.950 0.787
0.737 0.574 0.215
0.763 0.074 0.215
0.816 0.450 0.787
0.821 0.193 0.583
0.851 0.316 0.206
0.888 0.739 0.896
0.957 0.858 0.320
```

Main lines, in order of falling intensity (2θ = 10–90°):
d (Å)	intensity
3.348	100.0
5.706	84.3
4.134	48.9
6.226	42.4
3.144	37.4
2.348	28.6
4.097	26.6
3.328	20.3
1.889	18.7
2.386	16.6

=====

(2)
Computed powder XRD pattern
Compound: Re2SO7
Radiation: λ = 1.5418 Å (Cu Kα)
Structure: a DFT-relaxed cell (GGA-PBE, OQMD)

Structural model:
```
Re2SO7
1.0
7.973 0.000 0.000
0.000 5.829 0.000
0.000 0.000 5.440
Re S O
4 2 14
Direct
0.231 0.207 0.000
0.269 0.793 0.500
0.731 0.793 0.500
0.769 0.207 0.000
0.000 0.482 0.625
0.500 0.518 0.125
0.000 0.238 0.052
0.000 0.267 0.504
0.000 0.693 0.452
0.164 0.522 0.770
0.229 0.014 0.734
0.271 0.986 0.234
0.336 0.478 0.270
0.500 0.307 0.952
0.500 0.733 0.004
0.500 0.762 0.552
0.664 0.478 0.270
0.729 0.986 0.234
0.771 0.014 0.734
0.836 0.522 0.770
```

Main lines, in order of falling intensity (2θ = 10–90°):
d (Å)	intensity
3.980	100.0
2.816	49.4
1.989	14.1
1.782	12.8
2.720	12.4
1.779	11.6
2.353	9.6
1.588	9.6
2.247	8.9
2.915	8.5

=====

(3)
Computed powder XRD pattern
Compound: Sm2Re2S2O5
Radiation: λ = 1.5418 Å (Cu Kα)
Structure: a DFT-relaxed cell (GGA-PBE, OQMD)

Structural model:
```
Sm2Re2S2O5
1.0
-1.989 1.989 10.902
1.989 -1.989 10.902
1.989 1.989 -10.902
Sm Re S O
2 2 2 5
Direct
0.164 0.164 0.000
0.836 0.836 0.000
0.416 0.416 0.000
0.584 0.584 0.000
0.298 0.298 0.000
0.702 0.702 0.000
0.098 0.598 0.500
0.402 0.902 0.500
0.500 0.500 0.000
0.598 0.098 0.500
0.902 0.402 0.500
```

Main lines, in order of falling intensity (2θ = 10–90°):
d (Å)	intensity
2.813	100.0
2.453	84.0
5.451	74.3
2.939	63.3
1.989	51.8
3.490	50.5
1.545	41.1
3.913	40.5
1.647	24.7
1.526	24.4

=====

(4)
Computed powder XRD pattern
Compound: Sc2ReO4
Radiation: λ = 1.5418 Å (Cu Kα)
Structure: a DFT-relaxed cell (GGA-PBE, OQMD)

Structural model:
```
Sc2ReO4
1.0
0.000 4.467 4.467
4.467 0.000 4.467
4.467 4.467 0.000
Sc Re O
4 2 8
Direct
0.000 0.000 0.000
0.000 0.000 0.500
0.000 0.500 0.000
0.500 0.000 0.000
0.375 0.375 0.375
0.625 0.625 0.625
0.212 0.763 0.763
0.237 0.237 0.237
0.237 0.237 0.788
0.237 0.788 0.237
0.763 0.212 0.763
0.763 0.763 0.212
0.763 0.763 0.763
0.788 0.237 0.237
```

Main lines, in order of falling intensity (2θ = 10–90°):
d (Å)	intensity
2.694	100.0
3.159	88.3
1.719	38.4
1.824	36.1
1.579	33.8
5.158	29.9
1.163	20.5
1.194	19.3
1.413	15.4
2.050	14.9

=====

(5)
Computed powder XRD pattern
Compound: Sc3ReO
Radiation: λ = 1.5418 Å (Cu Kα)
Structure: a DFT-relaxed cell (GGA-PBE, OQMD)

Structural model:
```
Sc3ReO
1.0
5.058 -2.316 0.000
5.058 2.316 0.000
-2.868 0.000 6.929
Sc Re O
6 2 2
Direct
0.108 0.108 0.220
0.149 0.149 0.651
0.373 0.373 0.088
0.627 0.627 0.912
0.851 0.851 0.349
0.892 0.892 0.780
0.396 0.396 0.547
0.604 0.604 0.453
0.133 0.133 0.938
0.867 0.867 0.062
```

Main lines, in order of falling intensity (2θ = 10–90°):
d (Å)	intensity
6.929	100.0
2.462	76.6
2.484	51.8
2.316	41.1
3.322	40.8
4.150	35.3
2.337	33.3
2.082	28.4
3.861	24.2
1.645	21.4

=====

(6)
Computed powder XRD pattern
Compound: Re2Si2O5
Radiation: λ = 1.5418 Å (Cu Kα)
Structure: a DFT-relaxed cell (GGA-PBE, OQMD)

Structural model:
```
Re2Si2O5
1.0
3.896 0.000 0.000
0.000 3.896 0.000
0.000 0.000 6.623
Re Si O
2 2 5
Direct
0.000 0.000 0.179
0.000 0.000 0.821
0.500 0.500 0.000
0.500 0.500 0.500
0.000 0.000 0.500
0.000 0.500 0.246
0.000 0.500 0.754
0.500 0.000 0.246
0.500 0.000 0.754
```

Main lines, in order of falling intensity (2θ = 10–90°):
d (Å)	intensity
3.896	100.0
2.755	54.7
2.523	45.5
1.921	38.5
1.948	36.0
6.623	31.8
1.723	26.6
3.358	25.8
1.368	25.3
1.743	21.9

=====

(7)
Computed powder XRD pattern
Compound: Sm2ReO5
Radiation: λ = 1.5418 Å (Cu Kα)
Structure: a DFT-relaxed cell (GGA-PBE, OQMD)

Structural model:
```
Sm2ReO5
1.0
8.634 0.000 0.000
0.000 8.634 0.000
0.000 0.000 5.725
Sm Re O
8 4 20
Direct
0.100 0.892 0.250
0.108 0.600 0.750
0.392 0.900 0.750
0.400 0.608 0.250
0.600 0.392 0.750
0.608 0.100 0.250
0.892 0.400 0.250
0.900 0.108 0.750
0.250 0.250 0.154
0.250 0.250 0.544
0.750 0.750 0.456
0.750 0.750 0.846
0.048 0.159 0.102
0.048 0.340 0.605
0.159 0.452 0.102
0.160 0.048 0.605
0.250 0.750 0.000
0.250 0.750 0.500
0.340 0.452 0.605
0.341 0.048 0.102
0.452 0.160 0.605
0.452 0.341 0.102
0.548 0.659 0.898
0.548 0.840 0.395
0.659 0.952 0.898
0.660 0.548 0.395
0.750 0.250 0.000
0.750 0.250 0.500
0.840 0.952 0.395
0.841 0.548 0.898
0.952 0.660 0.395
0.952 0.841 0.898
```

Main lines, in order of falling intensity (2θ = 10–90°):
d (Å)	intensity
3.201	100.0
2.730	62.0
1.711	20.1
1.931	19.7
1.544	18.6
2.717	18.4
3.052	16.8
1.723	16.1
2.209	12.9
1.659	12.1

=====

(8)
Computed powder XRD pattern
Compound: Sr4TmRe2O12
Radiation: λ = 1.5418 Å (Cu Kα)
Structure: a DFT-relaxed cell (GGA-PBE, OQMD)

Structural model:
```
Sr4TmRe2O12
1.0
2.822 1.629 9.092
-2.822 1.629 9.092
0.000 -3.259 9.092
Sr Tm Re O
4 1 2 12
Direct
0.135 0.135 0.135
0.286 0.286 0.286
0.714 0.714 0.714
0.865 0.865 0.865
0.000 0.000 0.000
0.424 0.424 0.424
0.576 0.576 0.576
0.129 0.623 0.623
0.223 0.223 0.692
0.223 0.692 0.223
0.308 0.777 0.777
0.377 0.377 0.871
0.377 0.871 0.377
0.623 0.129 0.623
0.623 0.623 0.129
0.692 0.223 0.223
0.777 0.308 0.777
0.777 0.777 0.308
0.871 0.377 0.377
```

Main lines, in order of falling intensity (2θ = 10–90°):
d (Å)	intensity
3.047	100.0
2.822	83.5
2.070	53.8
1.669	35.3
4.601	21.8
1.810	21.0
1.341	18.4
1.524	17.0
1.629	16.7
1.411	16.0

=====

(9)
Computed powder XRD pattern
Compound: ReTe2O4
Radiation: λ = 1.5418 Å (Cu Kα)
Structure: a DFT-relaxed cell (GGA-PBE, OQMD)

Structural model:
```
ReTe2O4
1.0
-3.616 3.616 5.109
3.616 -3.616 5.109
3.616 3.616 -5.109
Re Te O
2 4 8
Direct
0.375 0.625 0.750
0.625 0.375 0.250
0.000 0.000 0.000
0.000 0.000 0.500
0.000 0.500 0.000
0.500 0.000 0.500
0.276 0.327 0.551
0.276 0.724 0.551
0.276 0.724 0.949
0.327 0.276 0.051
0.673 0.724 0.949
0.724 0.276 0.051
0.724 0.276 0.449
0.724 0.673 0.449
```

Main lines, in order of falling intensity (2θ = 10–90°):
d (Å)	intensity
3.083	100.0
3.615	40.1
1.807	34.8
1.968	32.6
1.331	24.2
2.087	15.9
2.951	15.7
1.559	12.3
1.181	12.2
1.366	9.7